Record 1
# Tm4BTeSe2
Simulated XRD peak list, Cu Kα. Input: DFT lattice parameters and positions (GGA-PBE).
Intensities are scaled so that the largest is 100.

Largest 10 diffraction maxima, in order of falling intensity, 10° ≤ 2θ ≤ 90°:
hkl, 2theta, I/Imax
2 0 0, 31.37, 100
2 0 4, 44.42, 56
0 0 4, 30.64, 39
2 2 0, 44.95, 37
1 1 2, 26.87, 37
2 2 4, 55.38, 29
1 0 3, 27.76, 26
4 2 4, 82.55, 19
3 1 2, 53.16, 18
2 1 3, 42.37, 17

Structural model:
```
data_Tm4BTeSe2
_symmetry_space_group_name_H-M 'I -4 m 2'
_symmetry_Int_Tables_number 119
_symmetry_space_group_name_Hall 'I -4 -2'
_cell_length_a 5.7039
_cell_length_b 5.7039
_cell_length_c 11.6699
_cell_angle_alpha 90.00
_cell_angle_beta 90.00
_cell_angle_gamma 90.00
loop_
_atom_site_label
_atom_site_type_symbol
_atom_site_fract_x
_atom_site_fract_y
_atom_site_fract_z
Tm1 Tm 0.0000 0.0000 0.2133
Tm2 Tm 0.0000 0.5000 0.5069
B1 B 0.0000 0.0000 0.0000
Te1 Te 0.0000 0.5000 0.2500
Se1 Se 0.0000 0.0000 0.5000
Se2 Se 0.0000 0.5000 0.7500
```

Record 2
# Y8BTe3Se3
Simulated XRD peak list, Cu Kα. Input: DFT lattice parameters and positions (GGA-PBE).
Intensities are scaled so that the largest is 100.

Largest 10 diffraction maxima, in order of falling intensity, 10° ≤ 2θ ≤ 90°:
hkl, 2theta, I/Imax
0 2 4, 30.12, 100
2 2 0, 43.83, 35
2 0 8, 42.38, 31
4 0 4, 54.10, 17
2 4 4, 72.07, 13
0 1 2, 14.93, 11
2 0 5, 32.72, 9
0 4 8, 62.61, 9
2 2 12, 69.98, 9
1 0 1, 13.06, 8

Structural model:
```
data_Y8BTe3Se3
_symmetry_space_group_name_H-M 'R -3 m'
_symmetry_Int_Tables_number 166
_symmetry_space_group_name_Hall '-R 3 2"'
_cell_length_a 8.2625
_cell_length_b 8.2625
_cell_length_c 21.2486
_cell_angle_alpha 90.00
_cell_angle_beta 90.00
_cell_angle_gamma 120.00
loop_
_atom_site_label
_atom_site_type_symbol
_atom_site_fract_x
_atom_site_fract_y
_atom_site_fract_z
Y1 Y 0.0000 0.0000 0.2387
Y2 Y 0.0338 0.5169 0.2344
B1 B 0.0000 0.0000 0.5000
Te1 Te 0.0000 0.5000 0.0000
Se1 Se 0.0000 0.5000 0.5000
```

Record 3
# Th5BSe4
Simulated XRD peak list, Cu Kα. Input: DFT lattice parameters and positions (GGA-PBE).
Intensities are scaled so that the largest is 100.

Largest 10 diffraction maxima, in order of falling intensity, 10° ≤ 2θ ≤ 90°:
hkl, 2theta, I/Imax
1 1 0, 30.40, 100
1 0 5, 26.18, 80
1 1 10, 43.34, 65
0 0 10, 30.13, 47
2 0 0, 43.54, 38
2 0 10, 53.86, 36
2 1 5, 51.51, 27
3 1 10, 79.79, 22
3 1 0, 71.80, 18
2 2 10, 71.65, 15

Structural model:
```
data_Th5BSe4
_symmetry_space_group_name_H-M 'I 4/m m m'
_symmetry_Int_Tables_number 139
_symmetry_space_group_name_Hall '-I 4 2'
_cell_length_a 4.1577
_cell_length_b 4.1577
_cell_length_c 29.6546
_cell_angle_alpha 90.00
_cell_angle_beta 90.00
_cell_angle_gamma 90.00
loop_
_atom_site_label
_atom_site_type_symbol
_atom_site_fract_x
_atom_site_fract_y
_atom_site_fract_z
Th1 Th 0.0000 0.0000 0.0000
Th2 Th 0.0000 0.0000 0.2043
Th3 Th 0.0000 0.0000 0.4104
B1 B 0.0000 0.0000 0.5000
Se1 Se 0.0000 0.0000 0.1017
Se2 Se 0.0000 0.0000 0.3055
```

Record 4
# ThBSe
Simulated XRD peak list, Cu Kα. Input: DFT lattice parameters and positions (GGA-PBE).
Intensities are scaled so that the largest is 100.

Largest 10 diffraction maxima, in order of falling intensity, 10° ≤ 2θ ≤ 90°:
hkl, 2theta, I/Imax
1 1 0, 28.58, 100
1 1 2, 34.52, 85
0 0 2, 16.30, 83
2 0 -1, 23.84, 47
2 0 2, 32.61, 45
3 1 -1, 44.72, 43
2 0 -3, 30.41, 42
1 1 -4, 41.80, 35
1 1 -3, 36.02, 35
2 0 -4, 36.28, 26

Structural model:
```
data_ThBSe
_symmetry_space_group_name_H-M 'C 1 2/m 1'
_symmetry_Int_Tables_number 12
_cell_length_a 7.5064
_cell_length_b 3.4560
_cell_length_c 11.1870
_cell_angle_alpha 90.00
_cell_angle_beta 103.57
_cell_angle_gamma 90.00
loop_
_symmetry_equiv_pos_as_xyz
'x,y,z'
'-x,-y,-z'
'-x,y,-z'
'x,-y,z'
'x+1/2,y+1/2,z'
'-x+1/2,-y+1/2,-z'
'-x+1/2,y+1/2,-z'
'x+1/2,-y+1/2,z'
loop_
_atom_site_label
_atom_site_type_symbol
_atom_site_fract_x
_atom_site_fract_y
_atom_site_fract_z
Th1 Th 0.0693 0.0000 0.1749
B1 B 0.2238 0.5000 0.0020
Se1 Se 0.1798 0.0000 0.6617
```